For FeRu, a PBE-relaxed structure gives the simulated X-ray powder pattern in this record (Cu Ka).
Neutral-atom scattering factors, no anomalous dispersion.

The 8 most intense peaks (10 to 80 degrees two-theta), by angle:
2θ = 21.8°, intensity 11; 2θ = 39.4°, intensity 30; 2θ = 44.5°, intensity 23; 2θ = 45.5°, intensity 100; 2θ = 60.9°, intensity 16; 2θ = 69.3°, intensity 1; 2θ = 71.4°, intensity 16; 2θ = 75.7°, intensity 2

Atomic structure:
Unit cell a=2.643 b=2.643 c=4.070 alpha=90.00 beta=90.00 gamma=120.00
Atoms (fractional coordinates):
Fe 0.000 0.000 0.000
Ru 0.667 0.333 0.500


For Sc2Fe3Ru, a PBE-relaxed structure gives the simulated X-ray powder pattern in this record (Cu Ka).
Neutral-atom scattering factors, no anomalous dispersion.

The 10 most intense peaks (10 to 80 degrees two-theta), by angle:
2θ = 20.8°, intensity 43; 2θ = 36.4°, intensity 28; 2θ = 38.6°, intensity 43; 2θ = 42.6°, intensity 100; 2θ = 43.3°, intensity 24; 2θ = 43.7°, intensity 61; 2θ = 47.8°, intensity 36; 2θ = 48.5°, intensity 22; 2θ = 69.7°, intensity 21; 2θ = 77.3°, intensity 20

Atomic structure:
Unit cell a=4.936 b=4.936 c=8.351 alpha=90.00 beta=90.00 gamma=120.00
Atoms (fractional coordinates):
Sc 0.333 0.667 0.063
Sc 0.333 0.667 0.437
Sc 0.667 0.333 0.563
Sc 0.667 0.333 0.937
Fe 0.172 0.344 0.750
Fe 0.172 0.828 0.750
Fe 0.344 0.172 0.250
Fe 0.656 0.828 0.750
Fe 0.828 0.172 0.250
Fe 0.828 0.656 0.250
Ru 0.000 0.000 0.000
Ru 0.000 0.000 0.500


For VFeRu2, a PBE-relaxed structure gives the simulated X-ray powder pattern in this record (Cu Ka).
Neutral-atom scattering factors, no anomalous dispersion.

The 6 most intense peaks (10 to 80 degrees two-theta), by angle:
2θ = 29.7°, intensity 13; 2θ = 42.5°, intensity 100; 2θ = 52.7°, intensity 4; 2θ = 61.7°, intensity 16; 2θ = 70.0°, intensity 5; 2θ = 77.8°, intensity 31

Atomic structure:
Unit cell a=4.252 b=4.252 c=4.252 alpha=60.00 beta=60.00 gamma=60.00
Atoms (fractional coordinates):
V 0.000 0.000 0.000
Fe 0.500 0.500 0.500
Ru 0.250 0.250 0.250
Ru 0.750 0.750 0.750


For Fe7S8, a PBE-relaxed structure gives the simulated X-ray powder pattern in this record (Cu Ka).
Neutral-atom scattering factors, no anomalous dispersion.

The 10 most intense peaks (10 to 80 degrees two-theta), by angle:
2θ = 19.3°, intensity 20; 2θ = 27.7°, intensity 17; 2θ = 31.4°, intensity 46; 2θ = 36.0°, intensity 64; 2θ = 39.9°, intensity 20; 2θ = 43.6°, intensity 17; 2θ = 47.4°, intensity 100; 2θ = 48.3°, intensity 22; 2θ = 55.9°, intensity 29; 2θ = 56.2°, intensity 22

Atomic structure:
Unit cell a=6.582 b=6.582 c=15.567 alpha=90.00 beta=90.00 gamma=120.00
Atoms (fractional coordinates):
Fe 0.000 0.019 0.167
Fe 0.000 0.083 0.667
Fe 0.000 0.439 0.167
Fe 0.015 0.590 0.813
Fe 0.019 0.000 0.833
Fe 0.052 0.535 0.348
Fe 0.083 0.000 0.333
Fe 0.410 0.425 0.147
Fe 0.425 0.410 0.853
Fe 0.439 0.000 0.833
Fe 0.465 0.517 0.681
Fe 0.483 0.948 0.015
Fe 0.517 0.465 0.319
Fe 0.535 0.052 0.652
Fe 0.561 0.561 0.500
Fe 0.575 0.985 0.480
Fe 0.590 0.015 0.187
Fe 0.917 0.917 0.000
Fe 0.948 0.483 0.985
Fe 0.981 0.981 0.500
Fe 0.985 0.575 0.520
S 0.119 0.293 0.064
S 0.134 0.788 0.081
S 0.148 0.364 0.762
S 0.174 0.881 0.731
S 0.212 0.346 0.414
S 0.216 0.852 0.428
S 0.293 0.119 0.936
S 0.298 0.648 0.913
S 0.346 0.212 0.586
S 0.350 0.702 0.580
S 0.352 0.650 0.246
S 0.364 0.148 0.238
S 0.636 0.784 0.095
S 0.648 0.298 0.087
S 0.650 0.352 0.754
S 0.654 0.866 0.747
S 0.702 0.350 0.420
S 0.707 0.826 0.397
S 0.784 0.636 0.905
S 0.788 0.134 0.919
S 0.826 0.707 0.603
S 0.852 0.216 0.572
S 0.866 0.654 0.253
S 0.881 0.174 0.269


For Fe7S8, a PBE-relaxed structure gives the simulated X-ray powder pattern in this record (Cu Ka).
Neutral-atom scattering factors, no anomalous dispersion.

The 10 most intense peaks (10 to 80 degrees two-theta), by angle:
2θ = 28.8°, intensity 36; 2θ = 30.8°, intensity 79; 2θ = 31.3°, intensity 45; 2θ = 35.0°, intensity 61; 2θ = 36.0°, intensity 84; 2θ = 46.5°, intensity 90; 2θ = 47.6°, intensity 100; 2θ = 48.1°, intensity 88; 2θ = 55.3°, intensity 40; 2θ = 55.4°, intensity 40

Atomic structure:
Unit cell a=5.718 b=6.250 c=11.176 alpha=82.52 beta=89.89 gamma=89.92
Atoms (fractional coordinates):
Fe 0.000 0.000 0.000
Fe 0.006 0.246 0.261
Fe 0.028 0.108 0.637
Fe 0.453 0.112 0.137
Fe 0.469 0.247 0.759
Fe 0.475 0.004 0.502
Fe 0.490 0.846 0.866
Fe 0.497 0.692 0.234
Fe 0.506 0.442 0.971
Fe 0.527 0.582 0.595
Fe 0.952 0.579 0.095
Fe 0.966 0.439 0.473
Fe 0.979 0.690 0.732
Fe 0.989 0.843 0.367
S 0.150 0.560 0.290
S 0.153 0.297 0.048
S 0.163 0.029 0.819
S 0.167 0.775 0.555
S 0.312 0.772 0.055
S 0.317 0.027 0.320
S 0.324 0.302 0.547
S 0.327 0.563 0.789
S 0.651 0.128 0.944
S 0.653 0.395 0.185
S 0.664 0.658 0.414
S 0.666 0.916 0.679
S 0.814 0.916 0.179
S 0.815 0.659 0.913
S 0.826 0.126 0.444
S 0.826 0.392 0.684


For Fe2S, a PBE-relaxed structure gives the simulated X-ray powder pattern in this record (Cu Ka).
Neutral-atom scattering factors, no anomalous dispersion.

The 10 most intense peaks (10 to 80 degrees two-theta), by angle:
2θ = 33.9°, intensity 100; 2θ = 36.2°, intensity 25; 2θ = 42.4°, intensity 35; 2θ = 43.9°, intensity 74; 2θ = 45.2°, intensity 31; 2θ = 47.6°, intensity 41; 2θ = 48.9°, intensity 47; 2θ = 49.0°, intensity 25; 2θ = 49.1°, intensity 61; 2θ = 60.5°, intensity 37

Atomic structure:
Unit cell a=4.633 b=4.633 c=19.523 alpha=90.23 beta=90.23 gamma=38.55
Atoms (fractional coordinates):
Fe 0.000 0.000 0.000
Fe 0.003 0.003 0.451
Fe 0.138 0.138 0.114
Fe 0.166 0.166 0.723
Fe 0.288 0.288 0.437
Fe 0.296 0.296 0.234
Fe 0.315 0.315 0.834
Fe 0.444 0.444 0.552
Fe 0.580 0.580 0.903
Fe 0.585 0.585 0.271
Fe 0.715 0.715 0.017
Fe 0.741 0.741 0.618
Fe 0.873 0.873 0.332
Fe 0.878 0.878 0.731
S 0.010 0.010 0.631
S 0.138 0.138 0.349
S 0.377 0.377 0.067
S 0.545 0.545 0.787
S 0.689 0.689 0.505
S 0.838 0.838 0.912
S 0.980 0.980 0.203